Starting from the PBE geometry in Alexandria, the powder X-ray diffraction pattern of K3CeU2O9 was computed for copper Kα.
Kinematic intensities with the Lorentz-polarization factor, no thermal factor.

Crystal structure
Unit cell a=6.1510 b=6.1510 c=7.5358 alpha=90.00 beta=90.00 gamma=120.00
Space group P-3m1 (No. 164)
Symmetry-distinct sites (fractional):
K1 0.0000 0.0000 0.0000 (multiplicity 1)
K2 0.3333 0.6667 0.6632 (multiplicity 2)
Ce1 0.0000 0.0000 0.5000 (multiplicity 1)
U1 0.3333 0.6667 0.1650 (multiplicity 2)
O1 0.0000 0.5000 0.0000 (multiplicity 3)
O2 0.1735 0.3470 0.3238 (multiplicity 6)

Largest 8 diffraction maxima, low angle first, 10° ≤ 2θ ≤ 90°:
20.42 deg, I 724, (1 0 1)
29.03 deg, I 1000, (1 1 0)
41.52 deg, I 316, (2 0 2)
46.69 deg, I 343, (2 1 1)
51.46 deg, I 418, (3 0 0)
60.17 deg, I 198, (2 2 0)
68.17 deg, I 187, (3 1 2)
83.08 deg, I 223, (4 1 0)